(1)
Ca2PuBi3: computed powder X-ray diffraction pattern (Cu Kα (λ = 1.5418 Å)), based on a cell relaxed with PBE.
Kinematic intensities with the Lorentz-polarization factor, no thermal factor.

Most intense lines, 15 to 90 degrees two-theta, sorted by position:
15.21°, I 20; 27.40°, I 100; 27.74°, I 49; 38.93°, I 20; 39.38°, I 96; 48.47°, I 25; 48.82°, I 20; 64.13°, I 18; 64.66°, I 18; 71.39°, I 19

Structure:
a b c (Å): 4.627 6.431 13.743
angles (deg): 90.00 90.00 90.00
Sites, in units of the cell vectors:
Ca: 0.000 0.000 0.172
Ca: 0.000 0.000 0.828
Ca: 0.500 0.500 0.328
Ca: 0.500 0.500 0.672
Pu: 0.000 0.000 0.500
Pu: 0.500 0.500 0.000
Bi: 0.000 0.500 0.156
Bi: 0.000 0.500 0.500
Bi: 0.000 0.500 0.844
Bi: 0.500 0.000 0.000
Bi: 0.500 0.000 0.344
Bi: 0.500 0.000 0.656

=====

(2)
Ca2Pu2Bi2S: computed powder X-ray diffraction pattern (Cu Kα (λ = 1.5418 Å)), based on a cell relaxed with PBE.
Kinematic intensities with the Lorentz-polarization factor, no thermal factor.

Most intense lines, 15 to 90 degrees two-theta, sorted by position:
17.78°, I 21; 23.38°, I 25; 26.38°, I 63; 32.27°, I 18; 32.39°, I 100; 34.30°, I 57; 47.81°, I 24; 49.30°, I 21; 56.53°, I 19; 60.21°, I 48

Structure:
a b c (Å): 5.228 5.228 16.646
angles (deg): 90.00 90.00 90.00
Sites, in units of the cell vectors:
Ca: 0.000 0.000 0.173
Ca: 0.000 0.000 0.827
Ca: 0.500 0.500 0.327
Ca: 0.500 0.500 0.673
Pu: 0.000 0.500 0.000
Pu: 0.000 0.500 0.500
Pu: 0.500 0.000 0.000
Pu: 0.500 0.000 0.500
Bi: 0.000 0.000 0.366
Bi: 0.000 0.000 0.634
Bi: 0.500 0.500 0.134
Bi: 0.500 0.500 0.866
S: 0.000 0.000 0.000
S: 0.500 0.500 0.500

=====

(3)
Ca3Bi3Rh2: computed powder X-ray diffraction pattern (Cu Kα (λ = 1.5418 Å)), based on a cell relaxed with PBE.
Kinematic intensities with the Lorentz-polarization factor, no thermal factor.

Most intense lines, 15 to 90 degrees two-theta, sorted by position:
17.75°, I 54; 22.42°, I 62; 24.62°, I 32; 30.48°, I 46; 31.18°, I 50; 33.93°, I 100; 35.68°, I 46; 38.87°, I 66; 43.70°, I 27; 44.23°, I 38

Structure:
a b c (Å): 8.814 15.714 6.068
angles (deg): 90.00 90.00 90.00
Sites, in units of the cell vectors:
Ca: 0.034 0.112 0.114
Ca: 0.034 0.388 0.114
Ca: 0.172 0.250 0.629
Ca: 0.328 0.750 0.129
Ca: 0.466 0.612 0.614
Ca: 0.466 0.888 0.614
Ca: 0.534 0.112 0.386
Ca: 0.534 0.388 0.386
Ca: 0.672 0.250 0.871
Ca: 0.828 0.750 0.371
Ca: 0.966 0.612 0.886
Ca: 0.966 0.888 0.886
Bi: 0.176 0.750 0.615
Bi: 0.186 0.038 0.616
Bi: 0.186 0.462 0.616
Bi: 0.314 0.538 0.116
Bi: 0.314 0.962 0.116
Bi: 0.324 0.250 0.115
Bi: 0.676 0.750 0.885
Bi: 0.686 0.038 0.884
Bi: 0.686 0.462 0.884
Bi: 0.814 0.538 0.384
Bi: 0.814 0.962 0.384
Bi: 0.824 0.250 0.385
Rh: 0.093 0.608 0.373
Rh: 0.093 0.892 0.373
Rh: 0.407 0.108 0.873
Rh: 0.407 0.392 0.873
Rh: 0.593 0.608 0.127
Rh: 0.593 0.892 0.127
Rh: 0.907 0.108 0.627
Rh: 0.907 0.392 0.627

=====

(4)
CaBi2Rh3: computed powder X-ray diffraction pattern (Cu Kα (λ = 1.5418 Å)), based on a cell relaxed with PBE.
Kinematic intensities with the Lorentz-polarization factor, no thermal factor.

Most intense lines, 15 to 90 degrees two-theta, sorted by position:
21.29°, I 34; 22.89°, I 27; 23.12°, I 37; 34.58°, I 100; 38.17°, I 92; 42.36°, I 49; 43.19°, I 32; 43.80°, I 23; 44.10°, I 28; 45.58°, I 24

Structure:
a b c (Å): 8.552 8.552 9.383
angles (deg): 122.16 122.16 28.89
Sites, in units of the cell vectors:
Ca: 0.129 0.129 0.186
Ca: 0.871 0.871 0.814
Bi: 0.203 0.203 0.682
Bi: 0.465 0.465 0.161
Bi: 0.535 0.535 0.839
Bi: 0.797 0.797 0.318
Rh: 0.028 0.028 0.380
Rh: 0.327 0.327 0.566
Rh: 0.409 0.409 0.378
Rh: 0.591 0.591 0.622
Rh: 0.673 0.673 0.434
Rh: 0.972 0.972 0.620

=====

(5)
CaBiRh: computed powder X-ray diffraction pattern (Cu Kα (λ = 1.5418 Å)), based on a cell relaxed with PBE.
Kinematic intensities with the Lorentz-polarization factor, no thermal factor.

Most intense lines, 15 to 90 degrees two-theta, sorted by position:
18.25°, I 30; 22.96°, I 77; 25.92°, I 22; 36.98°, I 55; 38.39°, I 100; 43.98°, I 30; 53.30°, I 19; 60.78°, I 15; 67.58°, I 38; 70.34°, I 17

Structure:
a b c (Å): 4.861 4.861 6.413
angles (deg): 90.00 90.00 90.00
Sites, in units of the cell vectors:
Ca: 0.000 0.500 0.000
Ca: 0.500 0.000 0.500
Bi: 0.000 0.500 0.500
Bi: 0.500 0.000 0.000
Rh: 0.000 0.000 0.250
Rh: 0.000 0.000 0.750

=====

(6)
Ca3YBi2S: computed powder X-ray diffraction pattern (Cu Kα (λ = 1.5418 Å)), based on a cell relaxed with PBE.
Kinematic intensities with the Lorentz-polarization factor, no thermal factor.

Most intense lines, 15 to 90 degrees two-theta, sorted by position:
17.89°, I 59; 23.55°, I 66; 24.25°, I 58; 26.57°, I 23; 32.09°, I 30; 32.62°, I 100; 34.46°, I 33; 34.66°, I 33; 49.68°, I 24; 60.58°, I 29

Structure:
a b c (Å): 5.176 5.205 16.541
angles (deg): 90.00 90.00 90.00
Sites, in units of the cell vectors:
Ca: 0.000 0.000 0.000
Ca: 0.000 0.500 0.328
Ca: 0.000 0.500 0.672
Ca: 0.500 0.000 0.172
Ca: 0.500 0.000 0.828
Ca: 0.500 0.500 0.500
Y: 0.000 0.000 0.500
Y: 0.500 0.500 0.000
Bi: 0.000 0.500 0.134
Bi: 0.000 0.500 0.866
Bi: 0.500 0.000 0.366
Bi: 0.500 0.000 0.634
S: 0.000 0.500 0.500
S: 0.500 0.000 0.000

=====

(7)
Ca3BiSb: computed powder X-ray diffraction pattern (Cu Kα (λ = 1.5418 Å)), based on a cell relaxed with PBE.
Kinematic intensities with the Lorentz-polarization factor, no thermal factor.

Most intense lines, 15 to 90 degrees two-theta, sorted by position:
20.90°, I 40; 22.13°, I 83; 23.37°, I 39; 23.98°, I 60; 26.58°, I 23; 31.55°, I 100; 36.16°, I 44; 37.81°, I 29; 40.34°, I 23; 44.24°, I 28

Structure:
a b c (Å): 4.759 7.611 9.455
angles (deg): 90.00 90.00 90.00
Sites, in units of the cell vectors:
Ca: 0.250 0.014 0.174
Ca: 0.250 0.250 0.565
Ca: 0.250 0.486 0.174
Ca: 0.750 0.514 0.826
Ca: 0.750 0.750 0.435
Ca: 0.750 0.986 0.826
Bi: 0.250 0.750 0.648
Bi: 0.750 0.250 0.352
Sb: 0.250 0.250 0.895
Sb: 0.750 0.750 0.105

=====

(8)
Sr2Ca2Bi2Sb: computed powder X-ray diffraction pattern (Cu Kα (λ = 1.5418 Å)), based on a cell relaxed with PBE.
Kinematic intensities with the Lorentz-polarization factor, no thermal factor.

Most intense lines, 15 to 90 degrees two-theta, sorted by position:
19.72°, I 36; 20.35°, I 33; 21.37°, I 44; 27.32°, I 46; 27.97°, I 100; 28.99°, I 52; 33.38°, I 44; 35.11°, I 56; 37.63°, I 37; 43.37°, I 33

Structure:
a b c (Å): 15.295 4.780 8.776
angles (deg): 90.00 118.79 90.00
Sites, in units of the cell vectors:
Sr: 0.026 0.000 0.259
Sr: 0.474 0.500 0.741
Sr: 0.526 0.500 0.259
Sr: 0.974 0.000 0.741
Ca: 0.213 0.500 0.799
Ca: 0.287 0.000 0.201
Ca: 0.713 0.000 0.799
Ca: 0.787 0.500 0.201
Bi: 0.131 0.500 0.091
Bi: 0.369 0.000 0.909
Bi: 0.631 0.000 0.091
Bi: 0.869 0.500 0.909
Sb: 0.000 0.500 0.500
Sb: 0.500 0.000 0.500

=====

(9)
CaScBi3: computed powder X-ray diffraction pattern (Cu Kα (λ = 1.5418 Å)), based on a cell relaxed with PBE.
Kinematic intensities with the Lorentz-polarization factor, no thermal factor.

Most intense lines, 15 to 90 degrees two-theta, sorted by position:
26.86°, I 63; 27.07°, I 100; 29.10°, I 64; 30.94°, I 89; 31.99°, I 51; 32.44°, I 35; 35.50°, I 33; 38.73°, I 39; 46.91°, I 36; 47.17°, I 35

Structure:
a b c (Å): 14.000 6.346 6.834
angles (deg): 90.00 90.00 90.00
Sites, in units of the cell vectors:
Ca: 0.185 0.020 0.250
Ca: 0.185 0.480 0.750
Ca: 0.815 0.520 0.250
Ca: 0.815 0.980 0.750
Sc: 0.401 0.750 0.000
Sc: 0.401 0.750 0.500
Sc: 0.599 0.250 0.000
Sc: 0.599 0.250 0.500
Bi: 0.011 0.750 0.000
Bi: 0.011 0.750 0.500
Bi: 0.259 0.503 0.250
Bi: 0.259 0.997 0.750
Bi: 0.425 0.149 0.250
Bi: 0.425 0.351 0.750
Bi: 0.575 0.649 0.250
Bi: 0.575 0.851 0.750
Bi: 0.741 0.003 0.250
Bi: 0.741 0.497 0.750
Bi: 0.989 0.250 0.000
Bi: 0.989 0.250 0.500

=====

(10)
Ca5ScBi5: computed powder X-ray diffraction pattern (Cu Kα (λ = 1.5418 Å)), based on a cell relaxed with PBE.
Kinematic intensities with the Lorentz-polarization factor, no thermal factor.

Most intense lines, 15 to 90 degrees two-theta, sorted by position:
15.29°, I 39; 23.41°, I 98; 24.50°, I 94; 27.33°, I 93; 27.74°, I 96; 28.12°, I 100; 37.94°, I 41; 39.62°, I 70; 39.92°, I 73; 47.88°, I 37

Structure:
a b c (Å): 8.130 8.130 8.867
angles (deg): 106.58 106.58 45.94
Sites, in units of the cell vectors:
Ca: 0.000 0.000 0.000
Ca: 0.312 0.312 0.177
Ca: 0.324 0.324 0.649
Ca: 0.676 0.676 0.351
Ca: 0.688 0.688 0.823
Sc: 0.000 0.000 0.500
Bi: 0.148 0.148 0.335
Bi: 0.157 0.157 0.822
Bi: 0.500 0.500 0.500
Bi: 0.843 0.843 0.178
Bi: 0.852 0.852 0.665

=====

(11)
SrCa3Bi2Se: computed powder X-ray diffraction pattern (Cu Kα (λ = 1.5418 Å)), based on a cell relaxed with PBE.
Kinematic intensities with the Lorentz-polarization factor, no thermal factor.

Most intense lines, 15 to 90 degrees two-theta, sorted by position:
16.64°, I 22; 22.40°, I 26; 22.81°, I 100; 31.28°, I 77; 31.88°, I 44; 33.07°, I 29; 39.57°, I 29; 45.27°, I 13; 46.60°, I 31; 57.95°, I 14

Structure:
a b c (Å): 5.418 5.615 16.831
angles (deg): 90.00 90.00 90.00
Sites, in units of the cell vectors:
Sr: 0.000 0.000 0.000
Sr: 0.500 0.500 0.500
Ca: 0.000 0.000 0.500
Ca: 0.000 0.500 0.178
Ca: 0.000 0.500 0.822
Ca: 0.500 0.000 0.322
Ca: 0.500 0.000 0.678
Ca: 0.500 0.500 0.000
Bi: 0.000 0.500 0.365
Bi: 0.000 0.500 0.635
Bi: 0.500 0.000 0.135
Bi: 0.500 0.000 0.865
Se: 0.000 0.500 0.000
Se: 0.500 0.000 0.500

=====

(12)
CaSi2Bi: computed powder X-ray diffraction pattern (Cu Kα (λ = 1.5418 Å)), based on a cell relaxed with PBE.
Kinematic intensities with the Lorentz-polarization factor, no thermal factor.

Most intense lines, 15 to 90 degrees two-theta, sorted by position:
18.41°, I 48; 22.33°, I 62; 25.84°, I 42; 26.04°, I 38; 29.73°, I 61; 30.56°, I 100; 30.98°, I 47; 32.47°, I 40; 35.09°, I 47; 35.85°, I 39

Structure:
a b c (Å): 5.061 3.604 11.001
angles (deg): 90.00 98.22 90.00
Sites, in units of the cell vectors:
Ca: 0.217 0.250 0.245
Ca: 0.783 0.750 0.755
Si: 0.179 0.750 0.989
Si: 0.370 0.250 0.881
Si: 0.630 0.750 0.119
Si: 0.821 0.250 0.011
Bi: 0.242 0.250 0.627
Bi: 0.758 0.750 0.373

=====

(13)
CaSi2Bi: computed powder X-ray diffraction pattern (Cu Kα (λ = 1.5418 Å)), based on a cell relaxed with PBE.
Kinematic intensities with the Lorentz-polarization factor, no thermal factor.

Most intense lines, 15 to 90 degrees two-theta, sorted by position:
23.94°, I 100; 24.60°, I 40; 25.26°, I 46; 28.36°, I 40; 31.34°, I 47; 31.52°, I 45; 31.90°, I 88; 33.32°, I 49; 34.08°, I 39; 37.46°, I 37

Structure:
a b c (Å): 3.800 5.973 9.112
angles (deg): 91.51 101.95 90.04
Sites, in units of the cell vectors:
Ca: 0.119 0.247 0.237
Ca: 0.881 0.753 0.763
Si: 0.285 0.059 0.569
Si: 0.286 0.454 0.573
Si: 0.714 0.546 0.427
Si: 0.715 0.941 0.431
Bi: 0.448 0.228 0.900
Bi: 0.552 0.772 0.100

=====

(14)
CaSmBi: computed powder X-ray diffraction pattern (Cu Kα (λ = 1.5418 Å)), based on a cell relaxed with PBE.
Kinematic intensities with the Lorentz-polarization factor, no thermal factor.

Most intense lines, 15 to 90 degrees two-theta, sorted by position:
18.54°, I 72; 25.00°, I 26; 27.77°, I 100; 30.02°, I 27; 30.97°, I 33; 34.51°, I 90; 37.58°, I 45; 38.09°, I 20; 40.58°, I 42; 56.50°, I 28

Structure:
a b c (Å): 4.446 13.947 6.583
angles (deg): 90.00 90.00 90.00
Sites, in units of the cell vectors:
Ca: 0.000 0.201 0.250
Ca: 0.000 0.799 0.750
Ca: 0.500 0.299 0.750
Ca: 0.500 0.701 0.250
Sm: 0.000 0.500 0.000
Sm: 0.000 0.500 0.500
Sm: 0.500 0.000 0.000
Sm: 0.500 0.000 0.500
Bi: 0.000 0.129 0.750
Bi: 0.000 0.871 0.250
Bi: 0.500 0.371 0.250
Bi: 0.500 0.629 0.750